# 1
CaTb4P4O16: computed powder diffraction line list (CuKα), based on the PBE geometry in Alexandria.
Neutral-atom scattering factors, no anomalous dispersion.

Principal peaks in the range 10° ≤ 2θ ≤ 90°, sorted by position:
2theta, I/Imax
15.14, 49
21.57, 54
22.15, 70
24.10, 55
27.57, 100
27.72, 69
30.05, 38
30.55, 47
32.05, 41
45.15, 32

Atomic structure:
```
CaTb4P4O16
1.0
6.564 0.000 0.000
-1.066 6.691 0.000
-2.489 -1.251 8.029
Ca Tb P O
1 4 4 16
Cartesian
0.000 0.000 0.000
-2.087 4.296 4.922
1.628 4.148 0.353
2.024 1.652 6.131
3.833 0.764 2.740
-1.428 1.119 5.947
0.927 1.579 2.479
1.387 5.084 5.085
4.465 4.319 1.439
-2.245 1.074 7.277
-0.473 0.910 2.333
-0.947 -0.223 5.468
-2.035 4.112 7.120
0.850 3.059 2.108
-0.240 2.081 6.193
0.047 4.677 4.513
1.896 0.821 1.481
1.617 1.370 3.860
2.316 -0.595 6.269
3.900 3.349 0.247
3.278 5.514 1.339
2.369 5.655 4.017
2.180 3.870 5.687
4.142 3.433 2.721
4.161 1.788 4.903
```

# 2
CaTi4P6O24: computed powder diffraction line list (CuKα), based on the PBE geometry in Alexandria.
Neutral-atom scattering factors, no anomalous dispersion.

Principal peaks in the range 10° ≤ 2θ ≤ 90°, sorted by position:
2theta, I/Imax
14.38, 18
20.05, 24
20.74, 31
24.04, 100
29.00, 26
32.07, 42
32.18, 16
36.33, 14
46.15, 13
49.23, 15

Atomic structure:
```
CaTi4P6O24
1.0
4.284 2.473 7.360
-4.284 2.473 7.360
0.000 -4.946 7.360
Ca Ti P O
1 4 6 24
Cartesian
0.000 0.000 0.000
0.000 0.000 3.277
0.000 0.000 7.954
0.000 0.000 14.125
0.000 0.000 18.802
-3.098 -0.339 9.148
-1.255 -2.852 12.931
1.843 -2.513 9.148
-1.843 2.513 12.931
1.255 2.852 9.148
3.098 0.339 12.931
-0.821 -1.374 4.268
-3.556 1.140 9.258
-2.766 -2.510 12.821
-0.451 -1.541 6.779
-0.779 1.398 4.268
-1.568 -0.393 9.000
-1.109 1.161 6.779
0.790 -3.650 9.258
1.601 -0.024 4.268
-0.444 -1.554 13.079
1.124 -1.161 9.000
-1.560 -0.380 15.301
1.560 0.380 6.779
-1.124 1.161 13.079
0.444 1.554 9.000
-1.601 0.024 17.811
-0.790 3.650 12.821
1.109 -1.161 15.301
1.568 0.393 13.079
0.779 -1.398 17.811
0.451 1.541 15.301
2.766 2.509 9.258
3.556 -1.140 12.821
0.821 1.374 17.811
```